Record 1
SmP3H5NO10: calculated X-ray diffraction stick pattern (Cu Kα (λ = 1.5418 Å)), based on the GGA-PBE geometry in Alexandria.
Neutral-atom scattering factors, no anomalous dispersion.

Largest 8 diffraction maxima, sorted by position, 2θ = 5–70°:
- d 8.087, 2θ 10.94, rel. 100
- d 7.645, 2θ 11.57, rel. 12
- d 6.332, 2θ 13.99, rel. 17
- d 3.802, 2θ 23.40, rel. 11
- d 3.375, 2θ 26.41, rel. 21
- d 3.238, 2θ 27.55, rel. 14
- d 3.213, 2θ 27.77, rel. 26
- d 3.025, 2θ 29.53, rel. 13

Crystal structure
abc: 7.0780 7.9302 8.6953
angles: 75.04 72.91 82.20
Atoms (fractional coordinates):
1 Sm 0.2278 0.1328 0.0086
2 Sm 0.7722 0.8672 0.9914
3 P 0.1469 0.5459 0.1339
4 P 0.3224 0.7412 0.3069
5 P 0.3305 0.8091 0.8420
6 P 0.6695 0.1909 0.1580
7 P 0.6776 0.2588 0.6931
8 P 0.8531 0.4541 0.8661
9 H 0.1032 0.2618 0.4567
10 H 0.1569 0.1048 0.6116
11 H 0.1932 0.3094 0.5995
12 H 0.3113 0.7184 0.5702
13 H 0.3455 0.2081 0.4530
14 H 0.6545 0.7919 0.5470
15 H 0.6887 0.2816 0.4298
16 H 0.8068 0.6906 0.4005
17 H 0.8431 0.8952 0.3884
18 H 0.8968 0.7382 0.5433
19 N 0.2002 0.2208 0.5290
20 N 0.7998 0.7792 0.4710
21 O 0.0466 0.3459 0.8405
22 O 0.1350 0.9256 0.8714
23 O 0.1432 0.3503 0.1640
24 O 0.1966 0.9016 0.2470
25 O 0.2438 0.6726 0.4998
26 O 0.2712 0.5746 0.2514
27 O 0.2825 0.6099 0.9479
28 O 0.4161 0.7945 0.6644
29 O 0.4557 0.2473 0.7503
30 O 0.4674 0.8748 0.9185
31 O 0.5326 0.1252 0.0815
32 O 0.5443 0.7527 0.2497
33 O 0.5839 0.2055 0.3356
34 O 0.7175 0.3901 0.0521
35 O 0.7288 0.4254 0.7486
36 O 0.7562 0.3274 0.5002
37 O 0.8034 0.0984 0.7530
38 O 0.8568 0.6497 0.8360
39 O 0.8650 0.0744 0.1286
40 O 0.9534 0.6541 0.1595



Record 2
Li4ZnGe2: calculated X-ray diffraction stick pattern (Cu Kα (λ = 1.5418 Å)), based on the GGA-PBE geometry in Alexandria.
Neutral-atom scattering factors, no anomalous dispersion.

Largest 8 diffraction maxima, sorted by position, 2θ = 5–70°:
- d 6.065, 2θ 14.60, rel. 100
- d 3.800, 2θ 23.41, rel. 70
- d 3.773, 2θ 23.58, rel. 93
- d 2.952, 2θ 30.28, rel. 65
- d 2.421, 2θ 37.13, rel. 61
- d 2.160, 2θ 41.82, rel. 73
- d 2.136, 2θ 42.31, rel. 72
- d 2.037, 2θ 44.48, rel. 72

Crystal structure
abc: 6.8461 4.8424 7.4954
angles: 90.00 116.39 90.00
Atoms (fractional coordinates):
1 Li 0.0889 0.2500 0.1132
2 Li 0.2000 0.2500 0.7962
3 Li 0.3099 0.5032 0.4866
4 Li 0.3099 0.9968 0.4866
5 Li 0.6901 0.0032 0.5134
6 Li 0.6901 0.4968 0.5134
7 Li 0.8000 0.7500 0.2038
8 Li 0.9111 0.7500 0.8868
9 Zn 0.4595 0.7500 0.8531
10 Zn 0.5405 0.2500 0.1469
11 Ge 0.0479 0.7500 0.6068
12 Ge 0.3556 0.7500 0.1710
13 Ge 0.6444 0.2500 0.8290
14 Ge 0.9521 0.2500 0.3932



Record 3
Sr2HfZn2O6: calculated X-ray diffraction stick pattern (Cu Kα (λ = 1.5418 Å)), based on the GGA-PBE geometry in Alexandria.
Neutral-atom scattering factors, no anomalous dispersion.

Largest 8 diffraction maxima, sorted by position, 2θ = 5–70°:
- d 4.934, 2θ 17.98, rel. 20
- d 4.370, 2θ 20.32, rel. 21
- d 2.989, 2θ 29.89, rel. 100
- d 2.758, 2θ 32.46, rel. 79
- d 2.027, 2θ 44.71, rel. 34
- d 1.726, 2θ 53.07, rel. 20
- d 1.678, 2θ 54.72, rel. 40
- d 1.494, 2θ 62.11, rel. 18

Crystal structure
abc: 6.4353 6.4353 6.4353
angles: 55.35 55.35 55.35
Atoms (fractional coordinates):
1 Sr 0.2067 0.2067 0.2067
2 Sr 0.7933 0.7933 0.7933
3 Hf 0.0000 0.0000 0.0000
4 Zn 0.4168 0.4168 0.4168
5 Zn 0.5832 0.5832 0.5832
6 O 0.2217 0.7637 0.7637
7 O 0.2363 0.2363 0.7783
8 O 0.2363 0.7783 0.2363
9 O 0.7637 0.2217 0.7637
10 O 0.7637 0.7637 0.2217
11 O 0.7783 0.2363 0.2363



Record 4
La2PrHoSc: calculated X-ray diffraction stick pattern (Cu Kα (λ = 1.5418 Å)), based on the GGA-PBE geometry in Alexandria.
Neutral-atom scattering factors, no anomalous dispersion.

Largest 8 diffraction maxima, sorted by position, 2θ = 5–70°:
- d 3.378, 2θ 26.39, rel. 100
- d 3.091, 2θ 28.88, rel. 99
- d 2.899, 2θ 30.85, rel. 54
- d 2.744, 2θ 32.63, rel. 83
- d 2.252, 2θ 40.04, rel. 16
- d 1.993, 2θ 45.52, rel. 61
- d 1.607, 2θ 57.34, rel. 24
- d 1.546, 2θ 59.84, rel. 16

Crystal structure
abc: 7.1332 7.1332 7.3072
angles: 90.00 90.00 108.73
Atoms (fractional coordinates):
1 La 0.1993 0.1993 0.0000
2 La 0.1993 0.1993 0.5000
3 La 0.8007 0.8007 0.0000
4 La 0.8007 0.8007 0.5000
5 Pr 0.2307 0.7693 0.7500
6 Pr 0.7693 0.2307 0.2500
7 Ho 0.2459 0.7541 0.2500
8 Ho 0.7541 0.2459 0.7500
9 Sc 0.4895 0.5105 0.7500
10 Sc 0.5105 0.4895 0.2500



Record 5
Li3B8C8: calculated X-ray diffraction stick pattern (Cu Kα (λ = 1.5418 Å)), based on the GGA-PBE geometry in Alexandria.
Neutral-atom scattering factors, no anomalous dispersion.

Largest 8 diffraction maxima, sorted by position, 2θ = 5–70°:
- d 7.523, 2θ 11.76, rel. 48
- d 3.761, 2θ 23.65, rel. 100
- d 2.508, 2θ 35.81, rel. 3
- d 2.343, 2θ 38.43, rel. 12
- d 1.988, 2θ 45.62, rel. 28
- d 1.881, 2θ 48.40, rel. 9
- d 1.712, 2θ 53.53, rel. 5
- d 1.352, 2θ 69.50, rel. 11

Crystal structure
abc: 2.7050 2.7050 30.0913
angles: 90.00 90.00 120.00
Atoms (fractional coordinates):
1 Li 0.0000 0.0000 0.0000
2 Li 0.0000 0.0000 0.2503
3 Li 0.0000 0.0000 0.7497
4 B 0.3333 0.6667 0.0599
5 B 0.3333 0.6667 0.3102
6 B 0.3333 0.6667 0.5513
7 B 0.3333 0.6667 0.8094
8 B 0.6667 0.3333 0.1906
9 B 0.6667 0.3333 0.4487
10 B 0.6667 0.3333 0.6898
11 B 0.6667 0.3333 0.9401
12 C 0.3333 0.6667 0.1925
13 C 0.3333 0.6667 0.4486
14 C 0.3333 0.6667 0.6917
15 C 0.3333 0.6667 0.9420
16 C 0.6667 0.3333 0.0580
17 C 0.6667 0.3333 0.3083
18 C 0.6667 0.3333 0.5514
19 C 0.6667 0.3333 0.8075



Record 6
Zr2Zn3Au3: calculated X-ray diffraction stick pattern (Cu Kα (λ = 1.5418 Å)), based on the GGA-PBE geometry in Alexandria.
Neutral-atom scattering factors, no anomalous dispersion.

Largest 8 diffraction maxima, sorted by position, 2θ = 5–70°:
- d 3.969, 2θ 22.40, rel. 7
- d 3.804, 2θ 23.38, rel. 9
- d 3.295, 2θ 27.06, rel. 28
- d 2.333, 2θ 38.60, rel. 100
- d 2.327, 2θ 38.70, rel. 100
- d 1.647, 2θ 55.81, rel. 34
- d 1.348, 2θ 69.77, rel. 17
- d 1.344, 2θ 69.97, rel. 34

Crystal structure
abc: 8.0877 8.0877 8.0877
angles: 33.44 33.44 33.44
Atoms (fractional coordinates):
1 Zr 0.0000 0.0000 0.0000
2 Zr 0.4998 0.4998 0.4998
3 Zn 0.2515 0.2515 0.2515
4 Zn 0.3753 0.3753 0.3753
5 Zn 0.7494 0.7494 0.7494
6 Au 0.1219 0.1219 0.1219
7 Au 0.6275 0.6275 0.6275
8 Au 0.8752 0.8752 0.8752



Record 7
K4Tl2Hg3: calculated X-ray diffraction stick pattern (Cu Kα (λ = 1.5418 Å)), based on the GGA-PBE geometry in Alexandria.
Neutral-atom scattering factors, no anomalous dispersion.

Largest 8 diffraction maxima, sorted by position, 2θ = 5–70°:
- d 8.939, 2θ 9.89, rel. 100
- d 8.301, 2θ 10.66, rel. 94
- d 5.319, 2θ 16.67, rel. 64
- d 3.127, 2θ 28.55, rel. 80
- d 3.037, 2θ 29.41, rel. 68
- d 2.898, 2θ 30.86, rel. 38
- d 2.655, 2θ 33.76, rel. 69
- d 2.437, 2θ 36.89, rel. 39

Crystal structure
abc: 9.6760 9.6760 8.7273
angles: 107.44 107.44 27.53
Atoms (fractional coordinates):
1 K 0.0693 0.0693 0.3662
2 K 0.2549 0.2549 0.7812
3 K 0.7451 0.7451 0.2188
4 K 0.9307 0.9307 0.6338
5 Tl 0.1032 0.1032 0.9711
6 Tl 0.8968 0.8968 0.0289
7 Hg 0.4035 0.4035 0.2976
8 Hg 0.5000 0.5000 0.0000
9 Hg 0.5965 0.5965 0.7024



Record 8
Ti5VGa3: calculated X-ray diffraction stick pattern (Cu Kα (λ = 1.5418 Å)), based on the GGA-PBE geometry in Alexandria.
Neutral-atom scattering factors, no anomalous dispersion.

Largest 8 diffraction maxima, sorted by position, 2θ = 5–70°:
- d 3.156, 2θ 28.27, rel. 9
- d 2.687, 2θ 33.35, rel. 10
- d 2.252, 2θ 40.04, rel. 100
- d 2.213, 2θ 40.78, rel. 79
- d 1.833, 2θ 49.74, rel. 2
- d 1.726, 2θ 53.06, rel. 16
- d 1.578, 2θ 58.48, rel. 25
- d 1.422, 2θ 65.68, rel. 2

Crystal structure
abc: 7.8002 7.8002 5.3738
angles: 90.00 90.00 120.00
Atoms (fractional coordinates):
1 Ti 0.0000 0.3234 0.2500
2 Ti 0.0000 0.6766 0.7500
3 Ti 0.3234 0.0000 0.2500
4 Ti 0.3234 0.3234 0.7500
5 Ti 0.3333 0.6667 0.0000
6 Ti 0.3333 0.6667 0.5000
7 Ti 0.6667 0.3333 0.0000
8 Ti 0.6667 0.3333 0.5000
9 Ti 0.6766 0.0000 0.7500
10 Ti 0.6766 0.6766 0.2500
11 V 0.0000 0.0000 0.0000
12 V 0.0000 0.0000 0.5000
13 Ga 0.0000 0.3381 0.7500
14 Ga 0.0000 0.6619 0.2500
15 Ga 0.3381 0.0000 0.7500
16 Ga 0.3381 0.3381 0.2500
17 Ga 0.6619 0.0000 0.2500
18 Ga 0.6619 0.6619 0.7500



Record 9
La4MgHg2: calculated X-ray diffraction stick pattern (Cu Kα (λ = 1.5418 Å)), based on the GGA-PBE geometry in Alexandria.
Neutral-atom scattering factors, no anomalous dispersion.

Largest 8 diffraction maxima, sorted by position, 2θ = 5–70°:
- d 4.447, 2θ 19.97, rel. 44
- d 2.918, 2θ 30.64, rel. 23
- d 2.733, 2θ 32.77, rel. 100
- d 2.675, 2θ 33.50, rel. 66
- d 1.912, 2θ 47.57, rel. 25
- d 1.578, 2θ 58.49, rel. 19
- d 1.567, 2θ 58.96, rel. 26
- d 1.461, 2θ 63.69, rel. 19

Crystal structure
abc: 9.2031 9.2031 9.2031
angles: 34.55 34.55 34.55
Atoms (fractional coordinates):
1 La 0.1114 0.1114 0.1114
2 La 0.3657 0.3657 0.3657
3 La 0.6343 0.6343 0.6343
4 La 0.8886 0.8886 0.8886
5 Mg 0.5000 0.5000 0.5000
6 Hg 0.2385 0.2385 0.2385
7 Hg 0.7615 0.7615 0.7615



Record 10
Ac4NdHo2: calculated X-ray diffraction stick pattern (Cu Kα (λ = 1.5418 Å)), based on the GGA-PBE geometry in Alexandria.
Neutral-atom scattering factors, no anomalous dispersion.

Largest 8 diffraction maxima, sorted by position, 2θ = 5–70°:
- d 3.126, 2θ 28.56, rel. 42
- d 3.113, 2θ 28.67, rel. 100
- d 2.987, 2θ 29.91, rel. 66
- d 2.956, 2θ 30.24, rel. 37
- d 2.909, 2θ 30.74, rel. 29
- d 2.571, 2θ 34.90, rel. 27
- d 2.179, 2θ 41.45, rel. 16
- d 1.893, 2θ 48.08, rel. 23

Crystal structure
abc: 7.2754 7.2754 13.2042
angles: 96.78 96.78 124.80
Atoms (fractional coordinates):
1 Ac 0.0622 0.9378 0.5000
2 Ac 0.1037 0.4795 0.5819
3 Ac 0.4795 0.1037 0.0819
4 Ac 0.4813 0.6322 0.1508
5 Ac 0.5229 0.8725 0.4309
6 Ac 0.6322 0.4813 0.6508
7 Ac 0.8725 0.5229 0.9309
8 Ac 0.9378 0.0622 0.0000
9 Nd 0.0050 0.2522 0.2910
10 Nd 0.2522 0.0050 0.7910
11 Ho 0.0343 0.7357 0.2254
12 Ho 0.3497 0.5529 0.8559
13 Ho 0.5529 0.3497 0.3559
14 Ho 0.7357 0.0343 0.7254



Record 11
Cs2PbBr5: calculated X-ray diffraction stick pattern (Cu Kα (λ = 1.5418 Å)), based on the GGA-PBE geometry in Alexandria.
Neutral-atom scattering factors, no anomalous dispersion.

Largest 8 diffraction maxima, sorted by position, 2θ = 5–70°:
- d 9.359, 2θ 9.45, rel. 33
- d 8.050, 2θ 10.99, rel. 58
- d 5.612, 2θ 15.79, rel. 100
- d 4.586, 2θ 19.36, rel. 89
- d 3.496, 2θ 25.48, rel. 41
- d 2.941, 2θ 30.39, rel. 52
- d 2.708, 2θ 33.08, rel. 86
- d 2.476, 2θ 36.29, rel. 36

Crystal structure
abc: 9.8103 9.8103 15.7813
angles: 90.00 90.00 145.11
Atoms (fractional coordinates):
1 Cs 0.1453 0.8547 0.5728
2 Cs 0.1453 0.8547 0.9272
3 Cs 0.8547 0.1453 0.0728
4 Cs 0.8547 0.1453 0.4272
5 Pb 0.1470 0.8530 0.2500
6 Pb 0.8530 0.1470 0.7500
7 Br 0.0425 0.9575 0.1202
8 Br 0.0425 0.9575 0.3798
9 Br 0.2584 0.7416 0.1184
10 Br 0.2584 0.7416 0.3816
11 Br 0.3356 0.6644 0.7500
12 Br 0.6644 0.3356 0.2500
13 Br 0.7416 0.2584 0.6184
14 Br 0.7416 0.2584 0.8816
15 Br 0.9575 0.0425 0.6202
16 Br 0.9575 0.0425 0.8798



Record 12
Pr12YEr5: calculated X-ray diffraction stick pattern (Cu Kα (λ = 1.5418 Å)), based on the GGA-PBE geometry in Alexandria.
Neutral-atom scattering factors, no anomalous dispersion.

Largest 8 diffraction maxima, sorted by position, 2θ = 5–70°:
- d 2.984, 2θ 29.95, rel. 100
- d 2.591, 2θ 34.62, rel. 34
- d 2.571, 2θ 34.90, rel. 17
- d 1.832, 2θ 49.77, rel. 12
- d 1.825, 2θ 49.98, rel. 24
- d 1.561, 2θ 59.18, rel. 29
- d 1.553, 2θ 59.53, rel. 7
- d 1.492, 2θ 62.23, rel. 12

Crystal structure
abc: 10.9400 5.1824 10.9571
angles: 90.00 90.44 90.00
Atoms (fractional coordinates):
1 Pr 0.0024 0.0000 0.1682
2 Pr 0.1653 0.5000 0.6654
3 Pr 0.1695 0.5000 0.0027
4 Pr 0.3317 0.0000 0.4978
5 Pr 0.3362 0.0000 0.8360
6 Pr 0.4972 0.5000 0.3306
7 Pr 0.5028 0.5000 0.6694
8 Pr 0.6638 0.0000 0.1640
9 Pr 0.6683 0.0000 0.5022
10 Pr 0.8305 0.5000 0.9973
11 Pr 0.8347 0.5000 0.3346
12 Pr 0.9976 0.0000 0.8318
13 Y 0.0000 0.0000 0.5000
14 Er 0.1670 0.5000 0.3330
15 Er 0.3331 0.0000 0.1669
16 Er 0.5000 0.5000 0.0000
17 Er 0.6669 0.0000 0.8331
18 Er 0.8330 0.5000 0.6670